Record 1
Computed X-ray powder pattern
Compound: NdMn10Si2
Radiation: λ = 1.5418 Å (Cu Kα)
Structure: a cell relaxed with GGA-PBE

Unit cell a=8.3087 b=9.7015 c=8.1277 alpha=90.00 beta=90.00 gamma=90.00
Space group Cmcm (No. 63)
Inequivalent atoms, fractional coordinates:
Nd 0.0000 0.1270 0.2500 (multiplicity 4)
Mn 0.0000 0.1776 0.6114 (multiplicity 8)
Mn 0.0000 0.3997 0.0669 (multiplicity 8)
Mn 0.1337 0.3906 0.7500 (multiplicity 8)
Mn 0.2221 0.0000 0.0000 (multiplicity 8)
Mn 0.2477 0.1238 0.7500 (multiplicity 8)
Si 0.2500 0.2500 0.0000 (multiplicity 8)

The 6 most intense peaks (15 to 90 degrees two-theta), most intense first:
2θ 44.1, intensity 100.0; 2θ 43.5, intensity 62.7; 2θ 40.5, intensity 55.0; 2θ 38.0, intensity 44.4; 2θ 43.6, intensity 38.1; 2θ 30.4, intensity 32.9

***

Record 2
Computed X-ray powder pattern
Compound: Dy6Tl5Pb
Radiation: λ = 1.5418 Å (Cu Kα)
Structure: a cell relaxed with GGA-PBE

Unit cell a=6.5379 b=11.1288 c=9.8902 alpha=90.00 beta=101.80 gamma=90.00
Space group C2/m (No. 12)
Inequivalent atoms, fractional coordinates:
Dy 0.2474 0.1673 0.2479 (multiplicity 8)
Dy 0.2501 0.0000 0.7503 (multiplicity 4)
Tl 0.0000 0.0000 0.0000 (multiplicity 2)
Tl 0.0000 0.1679 0.5000 (multiplicity 4)
Tl 0.0000 0.3344 0.0000 (multiplicity 4)
Pb 0.0000 0.5000 0.5000 (multiplicity 2)

The 6 most intense peaks (15 to 90 degrees two-theta), most intense first:
2θ 30.2, intensity 100.0; 2θ 37.4, intensity 37.8; 2θ 36.7, intensity 19.9; 2θ 37.1, intensity 19.3; 2θ 48.4, intensity 18.3; 2θ 58.1, intensity 10.7

***

Record 3
Computed X-ray powder pattern
Compound: NpBeTl2O6
Radiation: λ = 1.5418 Å (Cu Kα)
Structure: a cell relaxed with GGA-PBE

Unit cell a=7.3320 b=8.2548 c=10.1788 alpha=90.00 beta=90.00 gamma=90.00
Space group Fmmm (No. 69)
Inequivalent atoms, fractional coordinates:
Np 0.0000 0.0000 0.0000 (multiplicity 4)
Be 0.0000 0.0000 0.5000 (multiplicity 4)
Tl 0.2500 0.2500 0.2500 (multiplicity 8)
O 0.0000 0.0000 0.1961 (multiplicity 8)
O 0.0000 0.2317 0.0000 (multiplicity 8)
O 0.2037 0.0000 0.5000 (multiplicity 8)

The 6 most intense peaks (15 to 90 degrees two-theta), most intense first:
2θ 27.8, intensity 100.0; 2θ 30.0, intensity 83.8; 2θ 18.4, intensity 75.4; 2θ 32.7, intensity 66.2; 2θ 48.8, intensity 41.3; 2θ 35.3, intensity 36.8